[1]
Diffraction record for La3Tb7Pr2. The powder diffractogram is simulated, not measured: it uses a DFT-relaxed cell (PBE, Alexandria) and a wavelength of 1.5418 Å.
Neutral-atom scattering factors, no anomalous dispersion.

Most intense lines, 15 to 90 degrees two-theta, sorted by position:
| d/Å | I_rel | (hkl) |
| --- | --- | --- |
| 3.241 | 47 | 0 0 6 |
| 3.086 | 45 | 1 -1 0 |
| 3.025 | 43 | 1 1 2 |
| 2.985 | 93 | 1 -1 2 |
| 2.906 | 100 | 0 2 1 |
| 2.900 | 64 | 0 1 6 |
| 2.842 | 93 | 1 1 -2 |
| 2.782 | 59 | 0 0 7 |
| 2.734 | 48 | 1 1 4 |
| 2.548 | 68 | -1 1 4 |
| 1.708 | 64 | 1 3 0 |
| 1.543 | 49 | 2 1 7 |

Structure:
```
data_La3Tb7Pr2
_space_group_name_H-M_alt 'P 1'
_space_group_IT_number 1
_space_group_name_Hall 'P 1'
_cell_length_a 3.6440
_cell_length_b 5.8299
_cell_length_c 19.5590
_cell_angle_alpha 86.87
_cell_angle_beta 84.68
_cell_angle_gamma 90.00
loop_
_atom_site_label
_atom_site_fract_x
_atom_site_fract_y
_atom_site_fract_z
_atom_site_occupancy
La1 0.0000 0.0000 0.0000 1
La2 0.3207 0.2751 0.3594 1
La3 0.6793 0.7249 0.6406 1
Tb1 0.0837 0.6921 0.8300 1
Tb2 0.2297 0.2425 0.5415 1
Tb3 0.4307 0.8113 0.1401 1
Tb4 0.5000 0.5000 0.0000 1
Tb5 0.5693 0.1887 0.8599 1
Tb6 0.7703 0.7575 0.4585 1
Tb7 0.9163 0.3079 0.1700 1
Pr1 0.1432 0.2137 0.7121 1
Pr2 0.8568 0.7863 0.2879 1
```

---

[2]
Diffraction record for La4TbPr. The powder diffractogram is simulated, not measured: it uses a DFT-relaxed cell (PBE, Alexandria) and a wavelength of 1.5418 Å.
Neutral-atom scattering factors, no anomalous dispersion.

Most intense lines, 15 to 90 degrees two-theta, sorted by position:
| d/Å | I_rel | (hkl) |
| --- | --- | --- |
| 3.021 | 100 | 1 1 0 |
| 2.628 | 17 | 0 2 0 |
| 2.611 | 34 | 1 0 3 |
| 1.852 | 24 | 1 2 3 |
| 1.846 | 12 | 2 0 0 |
| 1.583 | 15 | 1 3 0 |
| 1.575 | 29 | 2 1 3 |
| 1.511 | 12 | 2 2 0 |
| 1.202 | 12 | 2 3 3 |
| 1.198 | 6 | 3 1 0 |
| 1.174 | 5 | 1 4 3 |
| 1.169 | 8 | 2 2 6 |

Structure:
```
data_La4TbPr
_space_group_name_H-M_alt 'P 1'
_space_group_IT_number 1
_space_group_name_Hall 'P 1'
_cell_length_a 3.6906
_cell_length_b 5.2554
_cell_length_c 11.0837
_cell_angle_alpha 90.00
_cell_angle_beta 90.00
_cell_angle_gamma 90.00
loop_
_atom_site_label
_atom_site_fract_x
_atom_site_fract_y
_atom_site_fract_z
_atom_site_occupancy
La1 0.0000 0.0000 0.1666 1
La2 0.0000 0.0000 0.8334 1
La3 0.5000 0.5000 0.3276 1
La4 0.5000 0.5000 0.6724 1
Tb1 0.5000 0.5000 0.0000 1
Pr1 0.0000 0.0000 0.5000 1
```